For NaLiZn3, a GGA-PBE-relaxed structure gives the simulated powder X-ray diffraction pattern in this record (Cu Kα).
Neutral-atom scattering factors, no anomalous dispersion.

Structure:
```
NaLiZn3
1.0
2.695 1.556 7.564
-2.695 1.556 7.564
0.000 -3.112 7.564
Na Li Zn
2 2 6
Direct
0.166 0.166 0.166
0.834 0.834 0.834
0.402 0.402 0.402
0.598 0.598 0.598
0.121 0.121 0.614
0.121 0.614 0.121
0.386 0.879 0.879
0.614 0.121 0.121
0.879 0.386 0.879
0.879 0.879 0.386
```

Top 8 peaks for 2θ from 15° to 90°, low angle first:
- 19.4 deg, I = 48
- 35.4 deg, I = 28
- 35.6 deg, I = 51
- 38.8 deg, I = 54
- 41.9 deg, I = 100
- 43.6 deg, I = 66
- 50.7 deg, I = 40
- 80.9 deg, I = 25